No. 1
Simulated powder diffraction line list
Compound: CeAl2Au10
Radiation: Cu Kα (λ = 1.5418 Å)
Structure: a structure optimized by DFT (GGA-PBE)
Kinematic intensities with the Lorentz-polarization factor, no thermal factor.

Structural model:
Cell lengths 5.619, 12.888, 13.840 Å; angles 90.00, 90.00, 90.00 degrees
Space group Fmmm (No. 69)
Asymmetric unit:
1 Ce 0.000 0.000 0.000
2 Al 0.250 0.000 0.250
3 Au 0.000 0.108 0.384
4 Au 0.000 0.157 0.172
5 Au 0.250 0.250 0.000

Principal peaks in the range 2θ from 10° to 90°, sorted by position:
2θ (°)  Rel. int.  (hkl)
31.85  58  2 0 0
32.64  69  1 3 3
36.86  91  1 1 5
37.25  58  2 2 2
38.17  100  0 4 4
39.01  74  0 0 6
41.40  69  2 0 4
42.70  82  2 4 0

No. 2
Simulated powder diffraction line list
Compound: PrEr3Ag
Radiation: Cu Kα (λ = 1.5418 Å)
Structure: a structure optimized by DFT (GGA-PBE)
Kinematic intensities with the Lorentz-polarization factor, no thermal factor.

Structural model:
Cell lengths 16.507, 10.471, 7.101 Å; angles 90.00, 101.92, 90.00 degrees
Space group C2/c (No. 15)
Asymmetric unit:
1 Pr 0.000 0.024 0.250
2 Pr 0.000 0.349 0.750
3 Er 0.170 0.166 0.076
4 Er 0.171 0.167 0.596
5 Er 0.183 0.500 0.093
6 Ag 0.082 0.341 0.296

Principal peaks in the range 2θ from 10° to 90°, sorted by position:
2θ (°)  Rel. int.  (hkl)
30.03  52  2 0 2
30.28  54  4 0 -2
30.52  100  3 3 0
33.28  25  6 0 0
36.09  90  1 3 -2
50.07  18  7 3 -2
52.43  17  0 6 0
57.77  20  10 0 -2

No. 3
Simulated powder diffraction line list
Compound: Ga5Br
Radiation: Cu Kα (λ = 1.5418 Å)
Structure: a structure optimized by DFT (GGA-PBE)
Kinematic intensities with the Lorentz-polarization factor, no thermal factor.

Structural model:
Cell lengths 4.128, 15.436, 4.194 Å; angles 90.00, 90.00, 90.00 degrees
Space group Cmmm (No. 65)
Asymmetric unit:
1 Ga 0.000 0.000 0.000
2 Ga 0.000 0.187 0.500
3 Ga 0.000 0.325 0.000
4 Br 0.000 0.500 0.500

Principal peaks in the range 2θ from 10° to 90°, sorted by position:
2θ (°)  Rel. int.  (hkl)
34.87  22  0 6 0
35.14  100  1 3 1
43.13  15  0 0 2
43.86  14  2 0 0
56.62  10  0 6 2
62.70  11  1 9 1
73.90  11  1 3 3
74.94  11  3 3 1

No. 4
Simulated powder diffraction line list
Compound: Ce2C2S
Radiation: Cu Kα (λ = 1.5418 Å)
Structure: a structure optimized by DFT (GGA-PBE)
Kinematic intensities with the Lorentz-polarization factor, no thermal factor.

Structural model:
Cell lengths 13.756, 4.064, 6.725 Å; angles 90.00, 102.99, 90.00 degrees
Space group C2/c (No. 15)
Asymmetric unit:
1 Ce 0.137 0.208 0.148
2 C 0.221 0.364 0.530
3 S 0.000 0.285 0.750

Principal peaks in the range 2θ from 10° to 90°, sorted by position:
2θ (°)  Rel. int.  (hkl)
26.60  34  4 0 0
27.44  95  2 0 -2
30.79  100  3 1 -1
33.02  40  2 0 2
43.60  19  6 0 -2
44.58  15  0 2 0
45.21  27  5 1 1
46.33  28  1 1 -3

No. 5
Simulated powder diffraction line list
Compound: Rb2GaB5H8O14
Radiation: Cu Kα (λ = 1.5418 Å)
Structure: a structure optimized by DFT (GGA-PBE)
Kinematic intensities with the Lorentz-polarization factor, no thermal factor.

Structural model:
Cell lengths 9.498, 10.813, 14.028 Å; angles 90.00, 90.00, 90.00 degrees
Space group C222_1 (No. 20)
Asymmetric unit:
1 Rb 0.146 0.228 0.344
2 Ga 0.128 0.500 0.000
3 B 0.000 0.203 0.750
4 B 0.023 0.283 0.583
5 B 0.174 0.112 0.631
6 H 0.066 0.489 0.216
7 H 0.119 0.011 0.205
8 H 0.164 0.059 0.105
9 H 0.172 0.431 0.496
10 O 0.000 0.435 0.250
11 O 0.006 0.366 0.988
12 O 0.043 0.282 0.831
13 O 0.116 0.086 0.164
14 O 0.121 0.122 0.723
15 O 0.129 0.196 0.561
16 O 0.230 0.478 0.111
17 O 0.241 0.500 0.500

Principal peaks in the range 2θ from 10° to 90°, sorted by position:
2θ (°)  Rel. int.  (hkl)
13.92  72  1 1 1
17.73  92  1 1 2
20.74  36  0 2 2
25.76  100  2 2 1
26.76  41  2 0 3
28.36  43  1 1 4
29.41  55  1 3 2
30.09  38  3 1 1

No. 6
Simulated powder diffraction line list
Compound: Tm3Co6Sn5
Radiation: Cu Kα (λ = 1.5418 Å)
Structure: a structure optimized by DFT (GGA-PBE)
Kinematic intensities with the Lorentz-polarization factor, no thermal factor.

Structural model:
Cell lengths 4.315, 9.530, 12.220 Å; angles 90.00, 90.00, 90.00 degrees
Space group Immm (No. 71)
Asymmetric unit:
1 Tm 0.000 0.000 0.000
2 Tm 0.000 0.000 0.318
3 Co 0.000 0.191 0.500
4 Co 0.000 0.272 0.108
5 Sn 0.000 0.342 0.324
6 Sn 0.000 0.500 0.000

Principal peaks in the range 2θ from 10° to 90°, sorted by position:
2θ (°)  Rel. int.  (hkl)
30.17  100  1 0 3
35.08  68  1 3 0
35.69  67  1 2 3
35.85  72  0 3 3
38.14  46  1 3 2
41.87  63  2 0 0
56.27  40  2 3 3
66.84  34  1 6 3

No. 7
Simulated powder diffraction line list
Compound: Ac3Si4Ge
Radiation: Cu Kα (λ = 1.5418 Å)
Structure: a structure optimized by DFT (GGA-PBE)
Kinematic intensities with the Lorentz-polarization factor, no thermal factor.

Structural model:
Cell lengths 4.779, 5.857, 16.145 Å; angles 90.00, 90.00, 90.00 degrees
Space group Immm (No. 71)
Asymmetric unit:
1 Ac 0.000 0.000 0.000
2 Ac 0.000 0.500 0.189
3 Si 0.000 0.301 0.377
4 Ge 0.000 0.000 0.500

Principal peaks in the range 2θ from 10° to 90°, sorted by position:
2θ (°)  Rel. int.  (hkl)
22.44  53  0 1 3
26.48  100  1 1 2
30.52  19  0 2 0
33.49  31  1 0 5
37.64  19  2 0 0
44.26  19  2 1 3
51.58  22  1 1 8
51.84  17  1 3 2

No. 8
Simulated powder diffraction line list
Compound: La3Te2Pt
Radiation: Cu Kα (λ = 1.5418 Å)
Structure: a structure optimized by DFT (GGA-PBE)
Kinematic intensities with the Lorentz-polarization factor, no thermal factor.

Structural model:
Cell lengths 4.532, 4.532, 18.847 Å; angles 90.00, 90.00, 90.00 degrees
Space group I4/mmm (No. 139)
Asymmetric unit:
1 La 0.000 0.000 0.000
2 La 0.000 0.000 0.350
3 Te 0.000 0.000 0.174
4 Pt 0.000 0.000 0.500

Principal peaks in the range 2θ from 10° to 90°, sorted by position:
2θ (°)  Rel. int.  (hkl)
27.84  100  1 1 0
28.41  41  0 0 6
39.78  38  2 0 0
40.20  64  1 1 6
49.61  35  2 0 6
57.52  17  2 2 0
65.09  18  3 1 0
72.50  22  3 1 6

No. 9
Simulated powder diffraction line list
Compound: InTeCI2
Radiation: Cu Kα (λ = 1.5418 Å)
Structure: a structure optimized by DFT (GGA-PBE)
Kinematic intensities with the Lorentz-polarization factor, no thermal factor.

Structural model:
Cell lengths 6.090, 6.090, 4.377 Å; angles 90.00, 90.00, 90.00 degrees
Space group P4/mmm (No. 123)
Asymmetric unit:
1 In 0.000 0.000 0.000
2 Te 0.500 0.500 0.000
3 C 0.500 0.500 0.500
4 I 0.000 0.500 0.500

Principal peaks in the range 2θ from 10° to 90°, sorted by position:
2θ (°)  Rel. int.  (hkl)
29.09  100  1 1 1
29.33  54  2 0 0
41.25  10  0 0 2
41.96  20  2 2 0
51.42  22  2 0 2
51.87  39  3 1 1
60.30  13  2 2 2
83.63  11  4 2 2

No. 10
Simulated powder diffraction line list
Compound: Er7Mg3Cd
Radiation: Cu Kα (λ = 1.5418 Å)
Structure: a structure optimized by DFT (GGA-PBE)
Kinematic intensities with the Lorentz-polarization factor, no thermal factor.

Structural model:
Cell lengths 5.684, 9.974, 11.304 Å; angles 90.00, 90.00, 90.00 degrees
Space group Immm (No. 71)
Asymmetric unit:
1 Er 0.000 0.000 0.000
2 Er 0.000 0.192 0.500
3 Er 0.000 0.328 0.226
4 Mg 0.000 0.000 0.278
5 Mg 0.000 0.500 0.000
6 Cd 0.000 0.500 0.500

Principal peaks in the range 2θ from 10° to 90°, sorted by position:
2θ (°)  Rel. int.  (hkl)
23.93  45  1 1 2
27.97  41  0 3 1
31.48  68  2 0 0
31.66  55  0 0 4
33.73  33  1 2 3
35.07  100  1 3 2
42.61  26  2 3 1
45.25  41  2 0 4

No. 11
Simulated powder diffraction line list
Compound: Li2H2SI2
Radiation: Cu Kα (λ = 1.5418 Å)
Structure: a structure optimized by DFT (GGA-PBE)
Kinematic intensities with the Lorentz-polarization factor, no thermal factor.

Structural model:
Cell lengths 4.069, 6.695, 6.701 Å; angles 66.95, 73.29, 73.49 degrees
Space group P-1 (No. 2)
Asymmetric unit:
1 Li 0.000 0.213 0.288
2 H 0.404 0.152 0.653
3 S 0.500 0.000 0.500
4 I 0.349 0.332 0.832

Principal peaks in the range 2θ from 10° to 90°, sorted by position:
2θ (°)  Rel. int.  (hkl)
14.66  40  0 0 1
23.27  31  1 0 0
23.64  49  1 1 1
24.09  73  0 1 -1
24.99  33  1 1 0
28.22  100  0 2 1
30.03  50  1 0 -1
30.60  29  1 2 1

No. 12
Simulated powder diffraction line list
Compound: Cs2SnI2Cl4
Radiation: Cu Kα (λ = 1.5418 Å)
Structure: a structure optimized by DFT (GGA-PBE)
Kinematic intensities with the Lorentz-polarization factor, no thermal factor.

Structural model:
Cell lengths 8.137, 8.137, 10.639 Å; angles 90.00, 90.00, 90.00 degrees
Space group I4/mmm (No. 139)
Asymmetric unit:
1 Cs 0.000 0.500 0.250
2 Sn 0.000 0.000 0.000
3 I 0.000 0.000 0.268
4 Cl 0.218 0.218 0.000

Principal peaks in the range 2θ from 10° to 90°, sorted by position:
2θ (°)  Rel. int.  (hkl)
13.70  29  1 0 1
21.85  80  2 0 0
27.60  100  2 0 2
31.09  77  2 2 0
33.70  31  0 0 4
40.52  30  2 0 4
46.50  45  2 2 4
53.19  31  4 2 2